The following is a theoretical PXRD pattern of Pr6CuAg. It was derived from a structure optimized by DFT (PBE), using Cu Kα, 1.54184 Å.
Lines closer than 0.1° are merged.

The 10 most intense peaks (2θ from 5° to 70°), sorted by position:
- hkl 1 1 2, 25.93°, rel. 11.9
- hkl 0 0 6, 29.96°, rel. 8.5
- hkl 1 1 4, 31.27°, rel. 100.0
- hkl 2 0 0, 34.08°, rel. 47.3
- hkl 0 0 8, 40.32°, rel. 7.1
- hkl 2 0 6, 46.00°, rel. 10.6
- hkl 2 2 0, 48.96°, rel. 16.9
- hkl 2 0 8, 53.79°, rel. 12.1
- hkl 1 1 10, 57.12°, rel. 8.9
- hkl 3 1 4, 59.25°, rel. 31.7

Atomic structure:
a = 5.2623 Å, b = 5.2623 Å, c = 17.8938 Å
α = 90.00°, β = 90.00°, γ = 90.00°
Element x y z (fractional)
Pr 0.0000 0.0000 0.2497
Pr 0.0000 0.0000 0.7503
Pr 0.0000 0.5000 0.1028
Pr 0.0000 0.5000 0.3972
Pr 0.0000 0.5000 0.6028
Pr 0.0000 0.5000 0.8972
Pr 0.5000 0.0000 0.1028
Pr 0.5000 0.0000 0.3972
Pr 0.5000 0.0000 0.6028
Pr 0.5000 0.0000 0.8972
Pr 0.5000 0.5000 0.2503
Pr 0.5000 0.5000 0.7497
Cu 0.0000 0.0000 0.0000
Cu 0.5000 0.5000 0.5000
Ag 0.0000 0.0000 0.5000
Ag 0.5000 0.5000 0.0000